Simulated powder diffractogram of TiNiP2O8 for CuKα, from a structure optimized by DFT (PBE+U).
Intensities are scaled so that the largest is 1000.

Atomic structure:
```
TiNiP2O8
1.0
4.3053 2.4856 6.8674
-4.3053 2.4856 6.8674
0.0000 -4.9713 6.8674
Ti Ni P O
3 3 6 24
Cartesian
0.0000 0.0000 0.0000 Ti
0.0000 0.0000 4.3652 Ti
0.0000 0.0000 14.6087 Ti
0.0000 0.0000 7.3532 Ni
0.0000 0.0000 10.2085 Ni
0.0000 0.0000 17.6348 Ni
-3.0410 0.2722 9.0301 P
-1.2642 -2.2011 12.4101 P
1.2848 -2.7697 9.0301 P
-1.2741 2.1953 12.4101 P
1.7563 2.4975 9.0301 P
2.5383 0.0057 12.4100 P
-3.6629 1.0027 7.8135 O
-0.8620 -1.2168 5.7740 O
-2.8189 -2.4236 12.3534 O
-3.4554 1.0857 10.2873 O
0.9631 -3.6735 7.8135 O
-1.5419 0.1694 8.7795 O
-0.6228 1.3549 5.7740 O
-0.8600 -1.5239 11.1476 O
0.7874 -3.5353 10.2873 O
0.6242 -1.4200 8.7795 O
1.4848 -0.1381 5.7740 O
-0.8482 -1.3854 13.6815 O
-0.8897 1.5068 11.1476 O
-1.4783 -0.1447 16.0790 O
0.9177 1.2506 8.7795 O
-0.7757 1.4273 13.6815 O
1.7498 0.0172 11.1476 O
-0.6894 3.6531 12.3534 O
0.8645 -1.2079 16.0790 O
1.6239 -0.0419 13.6815 O
2.6998 2.6708 7.8135 O
3.5084 -1.2295 12.3534 O
0.6138 1.3527 16.0790 O
2.6680 2.4496 10.2873 O
```

Top 10 peaks for 2θ from 10° to 90°, sorted by position:
- 2θ = 20.63°, d 4.305, rel. 832
- 2θ = 24.40°, d 3.648, rel. 1000
- 2θ = 25.41°, d 3.506, rel. 206
- 2θ = 33.38°, d 2.684, rel. 701
- 2θ = 36.14°, d 2.486, rel. 366
- 2θ = 47.84°, d 1.901, rel. 319
- 2θ = 50.01°, d 1.824, rel. 264
- 2θ = 56.56°, d 1.627, rel. 219
- 2θ = 57.12°, d 1.613, rel. 161
- 2θ = 63.24°, d 1.470, rel. 194